For Gd2ReO5, DFT lattice parameters and positions (PBE) gives the theoretical PXRD pattern in this record (λ = 1.5418 Å (Cu Kα)).

Structure:
```
data_Gd2ReO5
_cell_length_a 8.6416
_cell_length_b 8.6416
_cell_length_c 5.7773
_cell_angle_alpha 90.00
_cell_angle_beta 90.00
_cell_angle_gamma 90.00
_space_group_name_H-M_alt 'P 4/n'
_space_group_IT_number 85
loop_
_space_group_symop_operation_xyz
'x,y,z'
'-x,-y,-z'
'-y+1/2,x,z'
'y+1/2,-x,-z'
'-x+1/2,-y+1/2,z'
'x+1/2,y+1/2,-z'
'y,-x+1/2,z'
'-y,x+1/2,-z'
loop_
_atom_site_label
_atom_site_fract_x
_atom_site_fract_y
_atom_site_fract_z
Gd1 0.0997 0.8911 0.2498
Re1 0.2500 0.2500 0.1476
Re2 0.2500 0.2500 0.5404
O1 0.0490 0.3418 0.6007
O2 0.0495 0.1558 0.0952
O3 0.2500 0.7500 0.0000
O4 0.2500 0.7500 0.5000
```

Most intense lines, 2θ from 5° to 70°, sorted by position:
2theta, intensity
20.56, 10.6
27.77, 100.0
29.23, 15.7
32.75, 76.4
34.34, 13.1
40.76, 12.8
47.03, 18.5
52.92, 17.0
53.14, 19.9
54.09, 11.6
55.18, 12.6
59.81, 18.3